Starting from DFT lattice parameters and positions (GGA-PBE), the powder XRD pattern of Li6TlGe was simulated for Cu Kα (weighted mean of Kα1 and Kα2).
Kinematic intensities with the Lorentz-polarization factor, no thermal factor.

Main lines, by intensity (10 to 90 degrees two-theta):
- (1 1 1), 25.87 deg, d = 3.443 Å, I 100
- (0 1 1), 17.34 deg, d = 5.113 Å, I 66
- (1 0 2), 26.08 deg, d = 3.417 Å, I 49
- (1 2 2), 40.24 deg, d = 2.241 Å, I 42
- (0 1 3), 30.63 deg, d = 2.919 Å, I 41
- (0 0 2), 17.64 deg, d = 5.028 Å, I 32
- (0 2 0), 30.10 deg, d = 2.969 Å, I 21
- (2 1 3), 50.10 deg, d = 1.821 Å, I 21
- (1 0 4), 40.78 deg, d = 2.212 Å, I 20
- (0 4 0), 62.55 deg, d = 1.485 Å, I 17

Atomic structure:
```
data_Li6TlGe
_chemical_formula_sum 'Li12 Tl2 Ge2'
_symmetry_space_group_name_H-M 'A m m 2'
_symmetry_Int_Tables_number 38
_symmetry_space_group_name_Hall 'A 2 -2'
_cell_length_a 4.658
_cell_length_b 5.937
_cell_length_c 10.057
_cell_angle_alpha 90.00
_cell_angle_beta 90.00
_cell_angle_gamma 90.00
loop_
_atom_site_label
_atom_site_type_symbol
_atom_site_fract_x
_atom_site_fract_y
_atom_site_fract_z
_atom_site_occupancy
Li1 Li 0.000 0.000 0.000 1
Li2 Li 0.000 0.228 0.768 1
Li3 Li 0.500 0.000 0.339 1
Li4 Li 0.500 0.247 0.589 1
Tl1 Tl 0.000 0.000 0.509 1
Ge1 Ge 0.500 0.000 0.842 1
```